No. 1
Diffraction record for NdScOsO6. The PXRD pattern is simulated, not measured: it uses the GGA-PBE geometry in Alexandria and λ = 1.5418 Å (Cu Kα).
Peak positions follow from Bragg's law for the DFT cell and can differ from measured ones.

Crystal structure
a b c (Å): 5.3229 5.3229 10.1424
angles (deg): 90.00 90.00 120.00
Positions (direct):
Nd: 0.0000 0.0000 0.0000
Nd: 0.0000 0.0000 0.5000
Sc: 0.3333 0.6667 0.2500
Sc: 0.6667 0.3333 0.7500
Os: 0.3333 0.6667 0.7500
Os: 0.6667 0.3333 0.2500
O: 0.0239 0.3725 0.6421
O: 0.0239 0.6514 0.8579
O: 0.3486 0.3725 0.8579
O: 0.3486 0.9761 0.6421
O: 0.3725 0.0239 0.1421
O: 0.3725 0.3486 0.3579
O: 0.6275 0.6514 0.6421
O: 0.6275 0.9761 0.8579
O: 0.6514 0.0239 0.3579
O: 0.6514 0.6275 0.1421
O: 0.9761 0.3486 0.1421
O: 0.9761 0.6275 0.3579

Top 10 peaks for 2θ from 10° to 90°, most intense first:
2θ (°)	I (rel.)
26.1	100
49.7	43
33.7	40
21.2	39
43.1	25
55.8	24
60.2	14
32.9	11
58.1	10
76.9	10

---

No. 2
Diffraction record for Nd4P3O. The PXRD pattern is simulated, not measured: it uses the GGA-PBE geometry in Alexandria and λ = 1.5418 Å (Cu Kα).
Peak positions follow from Bragg's law for the DFT cell and can differ from measured ones.

Crystal structure
a b c (Å): 6.9876 6.9876 4.0474
angles (deg): 90.00 90.00 109.43
Positions (direct):
Nd: 0.2384 0.2384 0.4995
Nd: 0.2421 0.7579 0.0000
Nd: 0.7579 0.2421 0.0000
Nd: 0.7616 0.7616 0.4995
P: 0.0000 0.5000 0.4999
P: 0.5000 0.0000 0.4999
P: 0.5000 0.5000 0.9997
O: 0.0000 0.0000 0.0005

Top 10 peaks for 2θ from 10° to 90°, most intense first:
2θ (°)	I (rel.)
31.3	100
27.0	88
44.9	60
53.2	28
74.2	15
82.8	15
53.2	14
72.1	13
55.7	13
44.8	12